[1]
This entry pairs a crystal structure of CaLa3Sm12 with its calculated PXRD pattern. Radiation: Cu Kα (weighted mean of Kα1 and Kα2). Structure: a structure optimized by DFT (GGA-PBE).
Neutral-atom scattering factors, no anomalous dispersion.

The 10 most intense peaks (2θ = 10–80°), by angle:
2θ/deg  I (rel.)
17.11  1
29.86  100
34.57  34
34.70  17
49.76  36
59.07  29
59.23  14
62.03  12
72.93  4
73.22  2

Atomic structure:
Cell lengths 5.1886, 5.1886, 20.6829 Å; angles 90.00, 90.00, 90.00 degrees
Element x y z (fractional)
Ca: 0.0000 0.0000 0.0000
La: 0.0000 0.0000 0.2501
La: 0.0000 0.0000 0.5000
La: 0.0000 0.0000 0.7499
Sm: 0.0000 0.5000 0.1278
Sm: 0.0000 0.5000 0.3757
Sm: 0.0000 0.5000 0.6243
Sm: 0.0000 0.5000 0.8722
Sm: 0.5000 0.0000 0.1278
Sm: 0.5000 0.0000 0.3757
Sm: 0.5000 0.0000 0.6243
Sm: 0.5000 0.0000 0.8722
Sm: 0.5000 0.5000 0.0000
Sm: 0.5000 0.5000 0.2489
Sm: 0.5000 0.5000 0.5000
Sm: 0.5000 0.5000 0.7511

[2]
This entry pairs a crystal structure of NdHo8Sc3 with its calculated PXRD pattern. Radiation: Cu Kα (weighted mean of Kα1 and Kα2). Structure: a structure optimized by DFT (GGA-PBE).
Neutral-atom scattering factors, no anomalous dispersion.

The 10 most intense peaks (2θ = 10–80°), by angle:
2θ/deg  I (rel.)
14.91  56
24.92  100
30.08  56
31.07  49
33.37  64
33.95  43
34.62  56
37.27  73
45.99  66
59.40  36

Atomic structure:
Cell lengths 8.2739, 8.2739, 8.2739 Å; angles 118.96, 118.96, 91.81 degrees
Element x y z (fractional)
Nd: 0.0000 0.0000 0.0000
Ho: 0.1353 0.1353 0.7322
Ho: 0.2306 0.6956 0.0000
Ho: 0.3044 0.3044 0.5350
Ho: 0.4031 0.4031 0.2678
Ho: 0.5969 0.8647 0.0000
Ho: 0.6956 0.2306 0.0000
Ho: 0.7694 0.7694 0.4650
Ho: 0.8647 0.5969 0.0000
Sc: 0.2500 0.7500 0.5000
Sc: 0.5000 0.5000 0.0000
Sc: 0.7500 0.2500 0.5000

[3]
This entry pairs a crystal structure of YS6F2 with its calculated PXRD pattern. Radiation: Cu Kα (weighted mean of Kα1 and Kα2). Structure: a structure optimized by DFT (GGA-PBE).
Neutral-atom scattering factors, no anomalous dispersion.

The 10 most intense peaks (2θ = 10–80°), by angle:
2θ/deg  I (rel.)
12.12  100
19.92  92
20.68  29
25.49  41
28.75  24
30.51  43
31.14  36
32.54  37
33.10  23
36.91  26

Atomic structure:
Cell lengths 3.5507, 8.1006, 8.7776 Å; angles 64.46, 80.05, 87.73 degrees
Element x y z (fractional)
Y: 0.0000 0.0000 0.0000
S: 0.0718 0.7122 0.7600
S: 0.1590 0.9832 0.6804
S: 0.1754 0.6396 0.5737
S: 0.8246 0.3604 0.4263
S: 0.8410 0.0168 0.3196
S: 0.9282 0.2878 0.2400
F: 0.4831 0.8191 0.0795
F: 0.5169 0.1809 0.9205

[4]
This entry pairs a crystal structure of NaBi3Pb4 with its calculated PXRD pattern. Radiation: Cu Kα (weighted mean of Kα1 and Kα2). Structure: a structure optimized by DFT (GGA-PBE).
Neutral-atom scattering factors, no anomalous dispersion.

The 10 most intense peaks (2θ = 10–80°), by angle:
2θ/deg  I (rel.)
15.93  29
27.42  34
31.07  33
31.41  67
32.59  100
33.11  33
33.35  33
34.68  34
34.92  34
56.67  21

Atomic structure:
Cell lengths 3.5246, 5.6963, 13.3665 Å; angles 101.80, 95.86, 90.29 degrees
Element x y z (fractional)
Na: 0.0000 0.0000 0.0000
Bi: 0.4639 0.8496 0.7015
Bi: 0.5000 0.5000 0.0000
Bi: 0.5361 0.1504 0.2985
Pb: 0.0926 0.6122 0.2194
Pb: 0.2932 0.2689 0.5406
Pb: 0.7068 0.7311 0.4594
Pb: 0.9074 0.3878 0.7806

[5]
This entry pairs a crystal structure of Ac7La3Tm with its calculated PXRD pattern. Radiation: Cu Kα (weighted mean of Kα1 and Kα2). Structure: a structure optimized by DFT (GGA-PBE).
Neutral-atom scattering factors, no anomalous dispersion.

The 10 most intense peaks (2θ = 10–80°), by angle:
2θ/deg  I (rel.)
14.37  12
27.75  14
28.39  100
28.97  39
30.73  33
34.17  36
46.25  15
46.96  14
57.31  12
57.62  12

Atomic structure:
Cell lengths 8.3557, 8.3557, 6.9488 Å; angles 93.75, 93.75, 84.45 degrees
Element x y z (fractional)
Ac: 0.0000 0.0000 0.0000
Ac: 0.0740 0.4127 0.2603
Ac: 0.2608 0.2608 0.7724
Ac: 0.4127 0.0740 0.2603
Ac: 0.5873 0.9260 0.7397
Ac: 0.7392 0.7392 0.2276
Ac: 0.9260 0.5873 0.7397
La: 0.3362 0.6638 0.0000
La: 0.5000 0.5000 0.5000
La: 0.6638 0.3362 0.0000
Tm: 0.0000 0.0000 0.5000

[6]
This entry pairs a crystal structure of Ti2Zn2O5 with its calculated PXRD pattern. Radiation: Cu Kα (weighted mean of Kα1 and Kα2). Structure: a structure optimized by DFT (GGA-PBE).
Neutral-atom scattering factors, no anomalous dispersion.

The 10 most intense peaks (2θ = 10–80°), by angle:
2θ/deg  I (rel.)
31.17  15
32.33  30
32.55  33
33.37  12
34.29  100
46.54  28
51.93  19
58.93  17
59.20  22
72.27  13

Atomic structure:
Cell lengths 5.5380, 11.0037, 3.5219 Å; angles 90.00, 90.00, 90.00 degrees
Element x y z (fractional)
Ti: 0.2103 0.1367 0.0000
Ti: 0.2897 0.6367 0.0000
Ti: 0.7103 0.3633 0.0000
Ti: 0.7897 0.8633 0.0000
Zn: 0.2110 0.3912 0.5000
Zn: 0.2890 0.8912 0.5000
Zn: 0.7110 0.1088 0.5000
Zn: 0.7890 0.6088 0.5000
O: 0.0000 0.0000 0.0000
O: 0.0797 0.2932 0.0000
O: 0.1773 0.5834 0.5000
O: 0.3227 0.0834 0.5000
O: 0.4203 0.7932 0.0000
O: 0.5000 0.5000 0.0000
O: 0.5797 0.2068 0.0000
O: 0.6773 0.9166 0.5000
O: 0.8227 0.4166 0.5000
O: 0.9203 0.7068 0.0000